Structure and calculated powder diffraction line list of TlRu2Br (a structure optimized by DFT (PBE); CuKα).

```
data_TlRu2Br
_chemical_formula_sum 'Tl1 Ru2 Br1'
_symmetry_space_group_name_H-M 'P 1 m 1'
_symmetry_Int_Tables_number 6
_symmetry_space_group_name_Hall 'P -2y'
_cell_length_a 3.0499
_cell_length_b 3.0267
_cell_length_c 9.1832
_cell_angle_alpha 90.00
_cell_angle_beta 99.05
_cell_angle_gamma 90.00
loop_
_atom_site_label
_atom_site_type_symbol
_atom_site_fract_x
_atom_site_fract_y
_atom_site_fract_z
_atom_site_occupancy
Tl1 Tl 0.0000 0.0000 0.0000 1
Ru1 Ru 0.1905 0.0000 0.4058 1
Ru2 Ru 0.6149 0.5000 0.2465 1
Br1 Br 0.2974 0.5000 0.6318 1
```

Most intense lines, 2θ = 10–90°, in order of rising 2θ:
d/Å	Rel. int.
3.023	50
3.008	27
2.871	26
2.733	39
2.713	41
2.517	100
2.345	25
2.324	25
2.137	86
2.132	49

Structure and calculated powder diffraction line list of TlRuBr6 (a structure optimized by DFT (PBE); CuKα).

```
data_TlRuBr6
_chemical_formula_sum 'Tl2 Ru2 Br12'
_symmetry_space_group_name_H-M 'C 1 2/m 1'
_symmetry_Int_Tables_number 12
_symmetry_space_group_name_Hall '-C 2y'
_cell_length_a 6.8653
_cell_length_b 11.7524
_cell_length_c 6.8686
_cell_angle_alpha 90.00
_cell_angle_beta 109.39
_cell_angle_gamma 90.00
loop_
_atom_site_label
_atom_site_type_symbol
_atom_site_fract_x
_atom_site_fract_y
_atom_site_fract_z
_atom_site_occupancy
Tl1 Tl 0.0000 0.0000 0.0000 1
Ru1 Ru 0.0000 0.5000 0.5000 1
Br1 Br 0.2206 0.3494 0.7255 1
Br2 Br 0.2292 0.5000 0.2834 1
```

Most intense lines, 2θ = 10–90°, in order of rising 2θ:
d/Å	Rel. int.
5.876	70
5.058	87
3.760	30
2.836	22
2.802	50
2.788	100
2.176	27
1.976	66
1.959	17
1.846	18

Structure and calculated powder diffraction line list of VRuBr (a structure optimized by DFT (PBE); CuKα).

```
data_VRuBr
_chemical_formula_sum 'V4 Ru4 Br4'
_symmetry_space_group_name_H-M 'A m m 2'
_symmetry_Int_Tables_number 38
_symmetry_space_group_name_Hall 'A 2 -2'
_cell_length_a 12.3793
_cell_length_b 3.0782
_cell_length_c 5.3320
_cell_angle_alpha 90.00
_cell_angle_beta 90.00
_cell_angle_gamma 90.00
loop_
_atom_site_label
_atom_site_type_symbol
_atom_site_fract_x
_atom_site_fract_y
_atom_site_fract_z
_atom_site_occupancy
V1 V 0.0000 0.0000 0.0000 1
V2 V 0.5000 0.0000 0.0095 1
Ru1 Ru 0.1379 0.0000 0.3333 1
Br1 Br 0.3551 0.0000 0.6764 1
```

Most intense lines, 2θ = 10–90°, in order of rising 2θ:
d/Å	Rel. int.
3.095	29
2.606	80
2.448	31
2.239	100
2.020	67
1.539	40
1.474	32
1.378	15
1.268	16
1.234	16

Please write out number 1 again, unchanged.
Structure and calculated powder diffraction line list of TlRu2Br (a structure optimized by DFT (PBE); CuKα).

```
data_TlRu2Br
_chemical_formula_sum 'Tl1 Ru2 Br1'
_symmetry_space_group_name_H-M 'P 1 m 1'
_symmetry_Int_Tables_number 6
_symmetry_space_group_name_Hall 'P -2y'
_cell_length_a 3.0499
_cell_length_b 3.0267
_cell_length_c 9.1832
_cell_angle_alpha 90.00
_cell_angle_beta 99.05
_cell_angle_gamma 90.00
loop_
_atom_site_label
_atom_site_type_symbol
_atom_site_fract_x
_atom_site_fract_y
_atom_site_fract_z
_atom_site_occupancy
Tl1 Tl 0.0000 0.0000 0.0000 1
Ru1 Ru 0.1905 0.0000 0.4058 1
Ru2 Ru 0.6149 0.5000 0.2465 1
Br1 Br 0.2974 0.5000 0.6318 1
```

Most intense lines, 2θ = 10–90°, in order of rising 2θ:
d/Å	Rel. int.
3.023	50
3.008	27
2.871	26
2.733	39
2.713	41
2.517	100
2.345	25
2.324	25
2.137	86
2.132	49